# 1
Starting from a PBE+U-relaxed structure, the X-ray powder pattern of MgZn2Ni4O8 was calculated for Cu Kα X-rays.

Principal peaks in the range 10° ≤ 2θ ≤ 90°, in order of rising 2θ:
- 34.53 deg, rel. 46
- 34.85 deg, rel. 100
- 35.55 deg, rel. 47
- 35.77 deg, rel. 49
- 41.98 deg, rel. 61
- 63.84 deg, rel. 42

Structure:
```
MgZn2Ni4O8
1.0
5.0281 -2.9617 0.0000
5.0281 2.9617 0.0000
-3.5341 0.0000 5.1944
Mg Zn Ni O
1 2 4 8
direct
0.0000 0.0000 0.0000 Mg
0.1437 0.1437 0.4652 Zn
0.5013 0.5013 0.9998 Zn
0.4992 0.4992 0.4978 Ni
0.4993 0.9993 0.9978 Ni
0.8560 0.8560 0.5396 Ni
0.9993 0.4993 0.9978 Ni
0.2336 0.7348 0.2311 O
0.2455 0.2455 0.2557 O
0.2605 0.7671 0.7641 O
0.2645 0.2645 0.8263 O
0.7348 0.2336 0.2311 O
0.7379 0.7379 0.1725 O
0.7549 0.7549 0.7429 O
0.7671 0.2605 0.7641 O
```

***

# 2
Starting from a PBE+U-relaxed structure, the X-ray powder pattern of MgZn2Ni4O8 was calculated for Cu Kα X-rays.

Principal peaks in the range 10° ≤ 2θ ≤ 90°, in order of rising 2θ:
- 30.61 deg, rel. 46
- 34.16 deg, rel. 34
- 35.15 deg, rel. 100
- 35.96 deg, rel. 51
- 42.48 deg, rel. 62
- 63.67 deg, rel. 34

Structure:
```
MgZn2Ni4O8
1.0
5.8334 0.0000 0.0000
-2.9153 5.0662 0.0000
-2.9065 -1.6845 5.2500
Mg Zn Ni O
1 2 4 8
direct
0.0000 0.0000 0.0000 Mg
0.6885 0.8411 0.5378 Zn
0.9987 0.4970 0.5019 Zn
0.0007 0.4996 0.0019 Ni
0.3000 0.1456 0.4585 Ni
0.5004 0.4994 0.0020 Ni
0.5009 0.0000 0.0023 Ni
0.0113 0.2557 0.7667 O
0.0116 0.7552 0.7656 O
0.4523 0.7251 0.1810 O
0.4898 0.2430 0.2397 O
0.5085 0.7547 0.7658 O
0.5496 0.2750 0.8225 O
0.9892 0.7437 0.2357 O
0.9911 0.2426 0.2390 O
```

***

# 3
Starting from a PBE+U-relaxed structure, the X-ray powder pattern of MgZn2Ni3O8 was calculated for Cu Kα X-rays.

Principal peaks in the range 10° ≤ 2θ ≤ 90°, in order of rising 2θ:
- 32.23 deg, rel. 74
- 34.25 deg, rel. 100
- 34.84 deg, rel. 78
- 35.60 deg, rel. 82
- 36.48 deg, rel. 64
- 36.72 deg, rel. 52

Structure:
```
MgZn2Ni3O8
1.0
5.0825 0.0000 0.0000
0.6901 5.5551 0.0000
0.3072 2.6918 5.1353
Mg Zn Ni O
1 2 3 8
direct
0.0000 0.0000 0.0000 Mg
0.4649 0.2070 0.6503 Zn
0.5351 0.7930 0.3497 Zn
0.0074 0.7332 0.7316 Ni
0.5000 0.5000 0.0000 Ni
0.9926 0.2668 0.2684 Ni
0.1200 0.1095 0.6164 O
0.1588 0.6240 0.0696 O
0.3134 0.1284 0.1379 O
0.3531 0.5669 0.6752 O
0.6469 0.4331 0.3248 O
0.6866 0.8716 0.8621 O
0.8412 0.3760 0.9304 O
0.8800 0.8905 0.3836 O
```

***

# 4
Starting from a PBE+U-relaxed structure, the X-ray powder pattern of MgZn2Ni3O8 was calculated for Cu Kα X-rays.

Principal peaks in the range 10° ≤ 2θ ≤ 90°, in order of rising 2θ:
- 16.84 deg, rel. 46
- 24.80 deg, rel. 100
- 34.06 deg, rel. 30
- 39.41 deg, rel. 66
- 39.68 deg, rel. 43
- 50.10 deg, rel. 46

Structure:
```
MgZn2Ni3O8
1.0
5.2648 -2.8932 0.0000
5.2648 2.8932 0.0000
-0.0261 0.0000 5.0887
Mg Zn Ni O
1 2 3 8
direct
0.0000 0.0000 0.0000 Mg
0.2629 0.2629 0.2340 Zn
0.7371 0.7371 0.7660 Zn
0.2529 0.7471 0.5000 Ni
0.5000 0.5000 0.0000 Ni
0.7471 0.2529 0.5000 Ni
0.0943 0.0943 0.3483 O
0.1650 0.6219 0.1465 O
0.3781 0.8350 0.8535 O
0.4109 0.4109 0.6699 O
0.5891 0.5891 0.3301 O
0.6219 0.1650 0.1465 O
0.8350 0.3781 0.8535 O
0.9057 0.9057 0.6517 O
```

***

# 5
Starting from a PBE+U-relaxed structure, the X-ray powder pattern of MgZnNi4O8 was calculated for Cu Kα X-rays.

Principal peaks in the range 10° ≤ 2θ ≤ 90°, in order of rising 2θ:
- 16.50 deg, rel. 100
- 30.36 deg, rel. 53
- 33.35 deg, rel. 80
- 35.91 deg, rel. 95
- 38.26 deg, rel. 50
- 50.95 deg, rel. 52

Structure:
```
MgZnNi4O8
1.0
2.9597 0.0000 0.0000
1.4414 7.0259 0.0000
1.4658 1.0816 7.0575
Mg Zn Ni O
1 1 4 8
direct
0.0000 0.0000 0.0000 Mg
0.3470 0.6780 0.6278 Zn
0.0366 0.6549 0.2714 Ni
0.3122 0.0238 0.3529 Ni
0.5346 0.3068 0.6286 Ni
0.8149 0.3692 0.9975 Ni
0.1429 0.1473 0.5711 O
0.2056 0.5263 0.0591 O
0.4616 0.1877 0.8925 O
0.5005 0.8447 0.1516 O
0.5440 0.5082 0.4029 O
0.8090 0.1650 0.2183 O
0.8502 0.8316 0.4724 O
0.8801 0.4970 0.7379 O
```

***

# 6
Starting from a PBE+U-relaxed structure, the X-ray powder pattern of MgZn2Ni4O8 was calculated for Cu Kα X-rays.

Principal peaks in the range 10° ≤ 2θ ≤ 90°, in order of rising 2θ:
- 33.63 deg, rel. 100
- 34.57 deg, rel. 71
- 34.90 deg, rel. 84
- 35.23 deg, rel. 73
- 35.48 deg, rel. 55
- 35.87 deg, rel. 73

Structure:
```
MgZn2Ni4O8
1.0
5.3422 -3.0351 0.0000
5.3422 3.0351 0.0000
-3.0022 0.0000 5.0006
Mg Zn Ni O
1 2 4 8
direct
0.0000 0.0000 0.0000 Mg
0.2366 0.2366 0.9793 Zn
0.7151 0.7151 0.7245 Zn
0.1515 0.6661 0.4398 Ni
0.1840 0.1840 0.4793 Ni
0.5670 0.5670 0.0929 Ni
0.6661 0.1515 0.4398 Ni
0.3475 0.9307 0.6690 O
0.3755 0.9604 0.2091 O
0.4153 0.4153 0.6881 O
0.4399 0.4399 0.2500 O
0.8713 0.8713 0.6245 O
0.8829 0.8829 0.1681 O
0.9307 0.3475 0.6690 O
0.9604 0.3755 0.2091 O
```

***

# 7
Starting from a PBE+U-relaxed structure, the X-ray powder pattern of MgZn2Ni4O8 was calculated for Cu Kα X-rays.

Principal peaks in the range 10° ≤ 2θ ≤ 90°, in order of rising 2θ:
- 16.44 deg, rel. 93
- 27.36 deg, rel. 78
- 28.87 deg, rel. 100
- 35.55 deg, rel. 92
- 35.80 deg, rel. 73
- 45.33 deg, rel. 68

Structure:
```
MgZn2Ni4O8
1.0
4.0745 -4.0910 0.0000
4.0745 4.0910 0.0000
-3.8516 0.0000 5.3931
Mg Zn Ni O
1 2 4 8
direct
0.0000 0.0000 0.0000 Mg
0.5116 0.4884 0.0000 Zn
0.7342 0.2658 0.5000 Zn
0.0553 0.8176 0.6355 Ni
0.1600 0.4359 0.3225 Ni
0.1824 0.9447 0.3645 Ni
0.5641 0.8400 0.6775 Ni
0.3481 0.6245 0.7111 O
0.3539 0.1668 0.2709 O
0.3598 0.1004 0.7355 O
0.3755 0.6519 0.2889 O
0.8287 0.0803 0.7154 O
0.8332 0.6461 0.7291 O
0.8996 0.6402 0.2645 O
0.9197 0.1713 0.2846 O
```

***

# 8
Starting from a PBE+U-relaxed structure, the X-ray powder pattern of MgZn2Ni4O8 was calculated for Cu Kα X-rays.

Principal peaks in the range 10° ≤ 2θ ≤ 90°, in order of rising 2θ:
- 32.70 deg, rel. 100
- 36.27 deg, rel. 37
- 36.59 deg, rel. 37
- 38.43 deg, rel. 29
- 38.78 deg, rel. 30
- 41.41 deg, rel. 34

Structure:
```
MgZn2Ni4O8
1.0
2.9907 0.0000 0.0000
0.0000 9.5409 0.0000
-1.3744 0.0000 5.3780
Mg Zn Ni O
1 2 4 8
direct
0.0000 0.0000 0.0000 Mg
0.2564 0.0000 0.4471 Zn
0.3466 0.5000 0.6856 Zn
0.6137 0.3217 0.2108 Ni
0.6137 0.6783 0.2108 Ni
0.8787 0.2144 0.7290 Ni
0.8787 0.7856 0.7290 Ni
0.2450 0.2291 0.4517 O
0.2450 0.7709 0.4517 O
0.5040 0.1500 0.9969 O
0.5040 0.8500 0.9969 O
0.7208 0.5000 0.4228 O
0.8469 0.0000 0.6472 O
0.9746 0.3847 0.9377 O
0.9746 0.6153 0.9377 O
```

***

# 9
Starting from a PBE+U-relaxed structure, the X-ray powder pattern of MgZn2Ni4O8 was calculated for Cu Kα X-rays.

Principal peaks in the range 10° ≤ 2θ ≤ 90°, in order of rising 2θ:
- 16.45 deg, rel. 93
- 27.38 deg, rel. 80
- 28.89 deg, rel. 100
- 29.69 deg, rel. 65
- 35.56 deg, rel. 73
- 35.83 deg, rel. 66

Structure:
```
MgZn2Ni4O8
1.0
5.7600 0.0000 0.0000
-0.0303 5.7763 0.0000
-2.7183 -2.7144 5.3879
Mg Zn Ni O
1 2 4 8
direct
0.0000 0.0000 0.0000 Mg
0.2676 0.7385 0.4976 Zn
0.4955 0.5202 0.0026 Zn
0.4390 0.1667 0.3188 Ni
0.8257 0.0712 0.6423 Ni
0.8427 0.5735 0.6731 Ni
0.9511 0.1922 0.3663 Ni
0.0855 0.8399 0.7166 O
0.1065 0.3729 0.7365 O
0.1668 0.3583 0.2635 O
0.1765 0.9271 0.2861 O
0.6271 0.3581 0.7072 O
0.6479 0.8418 0.7269 O
0.6480 0.9111 0.2679 O
0.6556 0.3843 0.2865 O
```

***

# 10
Starting from a PBE+U-relaxed structure, the X-ray powder pattern of MgZn2Ni4O8 was calculated for Cu Kα X-rays.

Principal peaks in the range 10° ≤ 2θ ≤ 90°, in order of rising 2θ:
- 16.29 deg, rel. 49
- 32.79 deg, rel. 100
- 35.21 deg, rel. 95
- 35.99 deg, rel. 56
- 36.21 deg, rel. 46
- 42.54 deg, rel. 41

Structure:
```
MgZn2Ni4O8
1.0
2.9182 0.0000 0.0000
1.4089 4.9759 0.0000
0.4337 1.6517 10.8853
Mg Zn Ni O
1 2 4 8
direct
0.0000 0.0000 0.0000 Mg
0.1329 0.7847 0.7900 Zn
0.2343 0.4693 0.3588 Zn
0.4711 0.9925 0.2288 Ni
0.6117 0.9029 0.5396 Ni
0.7375 0.4988 0.0945 Ni
0.8659 0.3375 0.6428 Ni
0.0302 0.1753 0.4893 O
0.1091 0.7476 0.1597 O
0.2136 0.6221 0.6340 O
0.3723 0.2413 0.0482 O
0.5045 0.0628 0.6980 O
0.6164 0.7368 0.3896 O
0.6267 0.7677 0.9251 O
0.8139 0.2690 0.2597 O
```

***

# 11
Starting from a PBE+U-relaxed structure, the X-ray powder pattern of MgZn2Ni4O8 was calculated for Cu Kα X-rays.

Principal peaks in the range 10° ≤ 2θ ≤ 90°, in order of rising 2θ:
- 30.72 deg, rel. 37
- 34.60 deg, rel. 44
- 35.04 deg, rel. 100
- 35.69 deg, rel. 92
- 42.26 deg, rel. 53
- 63.97 deg, rel. 41

Structure:
```
MgZn2Ni4O8
1.0
5.8228 0.0000 0.0000
-2.8372 5.0854 0.0000
-2.8360 -1.7454 5.1848
Mg Zn Ni O
1 2 4 8
direct
0.0000 0.0000 0.0000 Mg
0.3179 0.1451 0.4660 Zn
0.6821 0.8549 0.5340 Zn
0.0000 0.5000 0.0000 Ni
0.0000 0.5000 0.5000 Ni
0.5000 0.0000 0.0000 Ni
0.5000 0.5000 0.0000 Ni
0.0069 0.2679 0.7710 O
0.0096 0.2456 0.2565 O
0.4390 0.7339 0.1730 O
0.4973 0.2353 0.2304 O
0.5027 0.7647 0.7696 O
0.5610 0.2661 0.8270 O
0.9904 0.7544 0.7435 O
0.9931 0.7321 0.2290 O
```

***

# 12
Starting from a PBE+U-relaxed structure, the X-ray powder pattern of MgZnNi4O8 was calculated for Cu Kα X-rays.

Principal peaks in the range 10° ≤ 2θ ≤ 90°, in order of rising 2θ:
- 11.74 deg, rel. 29
- 12.07 deg, rel. 56
- 14.48 deg, rel. 100
- 29.76 deg, rel. 23
- 44.04 deg, rel. 22
- 44.44 deg, rel. 23

Structure:
```
MgZnNi4O8
1.0
2.8837 0.0000 0.0000
-1.4359 7.5953 0.0000
-1.4368 -2.0442 7.5400
Mg Zn Ni O
1 1 4 8
direct
0.0000 0.0000 0.0000 Mg
0.0292 0.3706 0.6852 Zn
0.1842 0.3418 0.0277 Ni
0.3327 0.0190 0.6438 Ni
0.7085 0.0772 0.3393 Ni
0.8680 0.6866 0.0521 Ni
0.0703 0.9209 0.2206 O
0.3577 0.7849 0.9322 O
0.3771 0.2347 0.5141 O
0.3812 0.6003 0.1649 O
0.6590 0.1943 0.1245 O
0.6652 0.4529 0.8778 O
0.7093 0.9157 0.4996 O
0.9571 0.1131 0.7997 O
```